This entry pairs a crystal structure of Y2ErH8 with its calculated powder diffractogram. Radiation: Cu Kα (λ = 1.5418 Å). Structure: a crystal structure in Alexandria, relaxed with PBE.

```
Y2ErH8
1.0
-1.814 2.556 5.441
1.814 -2.556 5.441
1.814 2.556 -5.441
Y Er H
2 1 8
direct
0.168 0.168 0.000
0.832 0.832 0.000
0.500 0.500 0.000
0.082 0.341 0.742
0.235 0.000 0.235
0.341 0.841 0.500
0.401 0.659 0.742
0.599 0.341 0.258
0.659 0.159 0.500
0.765 0.000 0.765
0.918 0.659 0.258
```

Largest 6 diffraction maxima, low angle first, 10° ≤ 2θ ≤ 90°:
| Position (°2θ) | d_spacing | intensity |
| --- | --- | --- |
| 30.2 | 2.959 | 100 |
| 35.0 | 2.565 | 33 |
| 35.1 | 2.556 | 16 |
| 50.4 | 1.812 | 38 |
| 59.8 | 1.546 | 28 |
| 60.0 | 1.543 | 14 |